Calculated powder diffraction line list
Compound: EuZnSn
Radiation: Cu Kα (weighted mean of Kα1 and Kα2)
Structure: a cell relaxed with GGA-PBE
Intensities are scaled so that the largest is 100.

Unit cell a=7.819 b=4.800 c=8.115 alpha=90.00 beta=90.00 gamma=90.00
Fractional positions:
Eu1 0.003 0.250 0.211
Eu2 0.497 0.750 0.711
Eu3 0.503 0.250 0.289
Eu4 0.997 0.750 0.789
Zn1 0.179 0.750 0.417
Zn2 0.321 0.250 0.917
Zn3 0.679 0.750 0.083
Zn4 0.821 0.250 0.583
Sn1 0.208 0.250 0.591
Sn2 0.292 0.750 0.091
Sn3 0.708 0.250 0.909
Sn4 0.792 0.750 0.409

Peak list (8 most intense, 2θ from 5° to 70°, sorted by position)
31.0 deg, 2.881 Å, intensity 32
31.5 deg, 2.840 Å, intensity 100
31.8 deg, 2.815 Å, intensity 38
36.2 deg, 2.482 Å, intensity 19
37.5 deg, 2.400 Å, intensity 36
38.2 deg, 2.357 Å, intensity 54
49.9 deg, 1.827 Å, intensity 22
61.0 deg, 1.519 Å, intensity 19



Calculated powder diffraction line list
Compound: SrMg3O4
Radiation: Cu Kα (weighted mean of Kα1 and Kα2)
Structure: a cell relaxed with GGA-PBE
Intensities are scaled so that the largest is 100.

Unit cell a=4.603 b=4.603 c=4.603 alpha=90.00 beta=90.00 gamma=90.00
Fractional positions:
Sr1 0.000 0.000 0.000
Mg1 0.000 0.500 0.500
Mg2 0.500 0.000 0.500
Mg3 0.500 0.500 0.000
O1 0.000 0.000 0.500
O2 0.000 0.500 0.000
O3 0.500 0.000 0.000
O4 0.500 0.500 0.500

Peak list (8 most intense, 2θ from 5° to 70°, sorted by position)
19.3 deg, 4.603 Å, intensity 44
27.4 deg, 3.255 Å, intensity 38
33.7 deg, 2.658 Å, intensity 37
39.1 deg, 2.302 Å, intensity 100
44.0 deg, 2.059 Å, intensity 21
48.4 deg, 1.879 Å, intensity 16
56.5 deg, 1.627 Å, intensity 61
67.5 deg, 1.388 Å, intensity 19



Calculated powder diffraction line list
Compound: Cu3Se2
Radiation: Cu Kα (weighted mean of Kα1 and Kα2)
Structure: a cell relaxed with GGA-PBE
Intensities are scaled so that the largest is 100.

Unit cell a=6.395 b=6.395 c=4.349 alpha=90.00 beta=90.00 gamma=90.00
Fractional positions:
Cu1 0.000 0.000 0.000
Cu2 0.146 0.354 0.245
Cu3 0.354 0.854 0.755
Cu4 0.500 0.500 0.000
Cu5 0.646 0.146 0.755
Cu6 0.854 0.646 0.245
Se1 0.229 0.729 0.262
Se2 0.271 0.229 0.738
Se3 0.729 0.771 0.738
Se4 0.771 0.271 0.262

Peak list (8 most intense, 2θ from 5° to 70°, sorted by position)
24.8 deg, 3.596 Å, intensity 95
27.9 deg, 3.197 Å, intensity 46
28.5 deg, 3.135 Å, intensity 57
39.9 deg, 2.261 Å, intensity 62
44.8 deg, 2.022 Å, intensity 41
47.5 deg, 1.914 Å, intensity 51
49.7 deg, 1.834 Å, intensity 100
50.8 deg, 1.798 Å, intensity 77